# 1
Simulated X-ray powder pattern of CaCd3Ga3 for Cu Kα (λ = 1.5418 Å), from the GGA-PBE geometry in Alexandria.
No peak broadening, texture or thermal motion is included.

Crystal structure
```
data_CaCd3Ga3
_chemical_formula_sum 'Ca2 Cd6 Ga6'
_space_group_name_H-M_alt 'P 1 21/m 1'
_space_group_IT_number 11
_cell_length_a 7.7244
_cell_length_b 4.4446
_cell_length_c 9.8052
_cell_angle_alpha 90.00
_cell_angle_beta 106.89
_cell_angle_gamma 90.00
loop_
_space_group_symop_operation_xyz
'x,y,z'
'-x,-y,-z'
'-x,y+1/2,-z'
'x,-y+1/2,z'
loop_
_atom_site_label
_atom_site_fract_x
_atom_site_fract_y
_atom_site_fract_z
Ca1 0.1689 0.2500 0.2914
Cd1 0.2778 0.7500 0.7827
Cd2 0.3286 0.2500 0.9917
Cd3 0.4621 0.7500 0.2320
Ga1 0.0752 0.7500 0.4969
Ga2 0.1000 0.7500 0.0313
Ga3 0.4144 0.7500 0.5179
```

Main lines, by intensity (2θ = 15–90°):
| 2θ/deg | d [Å] | I_rel | (hkl) |
| --- | --- | --- | --- |
| 40.61 | 2.222 | 100.0 | 0 2 0 |
| 34.27 | 2.617 | 80.7 | 1 1 -3 |
| 34.98 | 2.565 | 78.6 | 2 1 1 |
| 37.72 | 2.385 | 58.4 | 2 1 -3 |
| 38.38 | 2.346 | 50.6 | 0 0 4 |
| 26.54 | 3.358 | 37.5 | 1 1 1 |
| 57.09 | 1.613 | 30.3 | 0 2 4 |
| 41.43 | 2.179 | 27.5 | 3 1 -2 |
| 33.00 | 2.714 | 26.9 | 2 1 -2 |
| 64.08 | 1.453 | 19.9 | 4 2 -2 |
| 23.35 | 3.809 | 19.3 | 1 1 0 |
| 34.86 | 2.574 | 18.6 | 3 0 -1 |

=====

# 2
Simulated X-ray powder pattern of Nd6Tl2Pb for Cu Kα (λ = 1.5418 Å), from the GGA-PBE geometry in Alexandria.
No peak broadening, texture or thermal motion is included.

Crystal structure
```
data_Nd6Tl2Pb
_chemical_formula_sum 'Nd6 Tl2 Pb1'
_space_group_name_H-M_alt 'P -6 2 m'
_space_group_IT_number 189
_space_group_name_Hall 'P -6 -2'
_cell_length_a 8.7792
_cell_length_b 8.7792
_cell_length_c 4.3668
_cell_angle_alpha 90.00
_cell_angle_beta 90.00
_cell_angle_gamma 120.00
loop_
_atom_site_label
_atom_site_fract_x
_atom_site_fract_y
_atom_site_fract_z
Nd1 0.0000 0.3959 0.0000
Nd2 0.0000 0.7224 0.5000
Tl1 0.3333 0.6667 0.5000
Pb1 0.0000 0.0000 0.0000
```

Main lines, by intensity (2θ = 15–90°):
| 2θ/deg | d [Å] | I_rel | (hkl) |
| --- | --- | --- | --- |
| 31.18 | 2.869 | 100.0 | 2 0 1 |
| 28.84 | 3.096 | 76.7 | 1 1 1 |
| 35.42 | 2.534 | 63.5 | 3 0 0 |
| 37.46 | 2.401 | 37.2 | 2 1 1 |
| 56.84 | 1.620 | 36.5 | 3 2 1 |
| 55.56 | 1.654 | 35.3 | 3 0 2 |
| 41.35 | 2.183 | 22.8 | 0 0 2 |
| 64.93 | 1.436 | 19.1 | 5 0 1 |
| 23.49 | 3.788 | 14.7 | 1 0 1 |
| 87.23 | 1.118 | 11.4 | 3 2 3 |
| 52.65 | 1.738 | 10.8 | 2 1 2 |
| 72.53 | 1.303 | 9.8 | 5 1 1 |

=====

# 3
Simulated X-ray powder pattern of SrMgGa2Cu for Cu Kα (λ = 1.5418 Å), from the GGA-PBE geometry in Alexandria.
No peak broadening, texture or thermal motion is included.

Crystal structure
```
data_SrMgGa2Cu
_chemical_formula_sum 'Sr2 Mg2 Ga4 Cu2'
_space_group_name_H-M_alt 'I m m 2'
_space_group_IT_number 44
_cell_length_a 4.3534
_cell_length_b 4.3589
_cell_length_c 11.3495
_cell_angle_alpha 90.00
_cell_angle_beta 90.00
_cell_angle_gamma 90.00
loop_
_space_group_symop_operation_xyz
'x,y,z'
'-x,-y,z'
'-x,y,z'
'x,-y,z'
'x+1/2,y+1/2,z+1/2'
'-x+1/2,-y+1/2,z+1/2'
'-x+1/2,y+1/2,z+1/2'
'x+1/2,-y+1/2,z+1/2'
loop_
_atom_site_label
_atom_site_fract_x
_atom_site_fract_y
_atom_site_fract_z
Sr1 0.0000 0.0000 0.0000
Mg1 0.0000 0.5000 0.7539
Ga1 0.0000 0.0000 0.6056
Ga2 0.0000 0.5000 0.2558
Cu1 0.0000 0.0000 0.3854
```

Main lines, by intensity (2θ = 15–90°):
| 2θ/deg | d [Å] | I_rel | (hkl) |
| --- | --- | --- | --- |
| 33.09 | 2.707 | 100.0 | 1 1 2 |
| 31.32 | 2.856 | 68.0 | 1 0 3 |
| 41.46 | 2.178 | 63.2 | 2 0 0 |
| 45.03 | 2.013 | 47.4 | 0 1 5 |
| 62.86 | 1.478 | 33.8 | 2 1 5 |
| 52.86 | 1.732 | 30.1 | 1 2 3 |
| 28.99 | 3.080 | 26.8 | 1 1 0 |
| 70.32 | 1.339 | 21.3 | 3 1 2 |
| 43.36 | 2.087 | 20.4 | 1 1 4 |
| 60.07 | 1.540 | 20.3 | 2 2 0 |
| 21.85 | 4.067 | 16.8 | 1 0 1 |
| 80.86 | 1.189 | 12.5 | 2 0 8 |

=====

# 4
Simulated X-ray powder pattern of Tl4Sn3 for Cu Kα (λ = 1.5418 Å), from the GGA-PBE geometry in Alexandria.
No peak broadening, texture or thermal motion is included.

Crystal structure
```
data_Tl4Sn3
_chemical_formula_sum 'Tl8 Sn6'
_space_group_name_H-M_alt 'I m m m'
_space_group_IT_number 71
_space_group_name_Hall '-I 2 2'
_cell_length_a 3.5158
_cell_length_b 4.4494
_cell_length_c 26.7952
_cell_angle_alpha 90.00
_cell_angle_beta 90.00
_cell_angle_gamma 90.00
loop_
_atom_site_label
_atom_site_fract_x
_atom_site_fract_y
_atom_site_fract_z
Tl1 0.0000 0.0000 0.0673
Tl2 0.0000 0.0000 0.3541
Sn1 0.0000 0.0000 0.2209
Sn2 0.0000 0.0000 0.5000
```

Main lines, by intensity (2θ = 15–90°):
| 2θ/deg | d [Å] | I_rel | (hkl) |
| --- | --- | --- | --- |
| 30.81 | 2.902 | 100.0 | 0 1 7 |
| 32.46 | 2.759 | 90.6 | 1 1 0 |
| 34.64 | 2.589 | 73.7 | 1 0 7 |
| 54.37 | 1.687 | 41.7 | 1 2 7 |
| 58.71 | 1.573 | 29.8 | 1 1 14 |
| 61.69 | 1.504 | 28.7 | 2 1 7 |
| 40.55 | 2.225 | 25.0 | 0 2 0 |
| 47.51 | 1.914 | 13.9 | 0 0 14 |
| 87.76 | 1.112 | 13.4 | 0 4 0 |
| 52.02 | 1.758 | 12.3 | 2 0 0 |
| 64.19 | 1.451 | 11.5 | 0 2 14 |
| 67.96 | 1.379 | 11.2 | 2 2 0 |

=====

# 5
Simulated X-ray powder pattern of NpHgS2O8 for Cu Kα (λ = 1.5418 Å), from the GGA-PBE geometry in Alexandria.
No peak broadening, texture or thermal motion is included.

Crystal structure
```
data_NpHgS2O8
_chemical_formula_sum 'Np1 Hg1 S2 O8'
_space_group_name_H-M_alt 'P -3 m 1'
_space_group_IT_number 164
_space_group_name_Hall '-P 3 2"'
_cell_length_a 5.6920
_cell_length_b 5.6920
_cell_length_c 8.6128
_cell_angle_alpha 90.00
_cell_angle_beta 90.00
_cell_angle_gamma 120.00
loop_
_atom_site_label
_atom_site_fract_x
_atom_site_fract_y
_atom_site_fract_z
Np1 0.0000 0.0000 0.0000
Hg1 0.0000 0.0000 0.5000
S1 0.3333 0.6667 0.7938
O1 0.1916 0.3832 0.8611
O2 0.3333 0.6667 0.6282
```

Main lines, by intensity (2θ = 15–90°):
| 2θ/deg | d [Å] | I_rel | (hkl) |
| --- | --- | --- | --- |
| 27.50 | 3.243 | 100.0 | 1 0 2 |
| 18.00 | 4.929 | 88.3 | 1 0 0 |
| 31.43 | 2.846 | 42.6 | 1 1 0 |
| 42.25 | 2.139 | 33.6 | 2 0 2 |
| 53.60 | 1.710 | 31.1 | 2 1 2 |
| 37.89 | 2.374 | 29.3 | 1 1 2 |
| 46.00 | 1.973 | 22.7 | 0 1 4 |
| 20.62 | 4.306 | 18.7 | 0 0 2 |
| 48.88 | 1.863 | 18.3 | 2 1 0 |
| 53.35 | 1.717 | 15.8 | 1 1 4 |
| 56.77 | 1.622 | 14.0 | 2 0 4 |
| 20.76 | 4.278 | 13.8 | 1 0 1 |